Theoretical X-ray diffraction stick pattern of Ta5Ga2Sn for a wavelength of 1.5418 Å, from a structure optimized by DFT (GGA-PBE).
Kinematic intensities with the Lorentz-polarization factor, no thermal factor.

Atomic structure:
```
16
Lattice="-5.1997 5.1997 2.6681 5.1997 -5.1997 2.6681 5.1997 5.1997 -2.6681" Properties=species:S:1:pos:R:3 pbc="T T T"
Ta 7.9584 0.7993 0.0000
Ta 0.7993 2.4409 0.0000
Ta 5.1997 0.0000 1.3340
Ta 5.9990 2.7587 0.0000
Ta 2.7587 4.4004 0.0000
Ta 2.4409 0.7993 2.6681
Ta -0.7993 2.4409 2.6681
Ta 0.0000 5.1997 1.3340
Ta 4.4004 2.7587 2.6681
Ta -2.7587 4.4004 2.6681
Ga 3.4686 1.7311 0.0000
Ga 3.4686 -1.7311 2.6681
Ga 1.7311 6.9308 0.0000
Ga 1.7311 3.4686 2.6681
Sn 0.0000 0.0000 1.3340
Sn 0.0000 0.0000 4.0021
```

Main lines, by intensity (10 to 80 degrees two-theta):
2theta  I (rel.)
39.52  100
38.72  88
41.83  74
35.38  65
37.90  60
64.06  55
25.40  28
61.23  27
34.50  26
33.59  24
74.84  21
50.24  21



Theoretical X-ray diffraction stick pattern of Ga6SnTe10 for a wavelength of 1.5418 Å, from a structure optimized by DFT (GGA-PBE).
Kinematic intensities with the Lorentz-polarization factor, no thermal factor.

Atomic structure:
```
34
Lattice="7.4301 -7.3577 0.0000 7.4301 7.3577 0.0000 -0.0352 0.0000 10.4708" Properties=species:S:1:pos:R:3 pbc="T T T"
Ga 0.6226 0.0000 3.5368
Ga 3.7911 1.9031 2.6744
Ga 4.3178 1.2026 9.1918
Ga 3.3044 -1.9699 1.6800
Ga 6.7677 0.2287 1.7897
Ga 8.0572 0.2287 8.6811
Ga 11.0338 1.9031 7.7964
Ga 10.5071 1.2026 1.2790
Ga 5.3049 -4.4721 4.4452
Ga 11.5205 -1.9699 8.7908
Ga 9.5200 -4.4721 6.0256
Ga 14.2023 0.0000 6.9340
Sn 5.4315 -2.2939 7.8067
Sn 9.3934 -2.2939 2.6641
Te 4.1769 3.7398 4.5753
Te 6.4978 4.9364 7.8578
Te 1.8871 0.2277 5.9689
Te 5.6377 2.4507 0.7422
Te 8.3271 4.9364 2.6130
Te 3.0498 -1.1083 9.5991
Te 5.9771 0.8339 7.1219
Te 4.7629 -0.5115 3.4434
Te 9.1872 2.4507 9.7286
Te 10.6480 3.7398 5.8955
Te 8.8478 0.8339 3.3489
Te 7.4301 -1.6285 0.0000
Te 4.9090 -4.1837 1.7662
Te 7.4124 -2.9765 5.2354
Te 10.0620 -0.5115 7.0274
Te 6.0857 -5.4784 8.6875
Te 12.9378 0.2277 4.5019
Te 11.7751 -1.1083 0.8717
Te 9.9159 -4.1837 8.7046
Te 8.7392 -5.4784 1.7833
```

Main lines, by intensity (10 to 80 degrees two-theta):
2theta  I (rel.)
25.56  100
25.44  79
28.26  74
28.39  69
44.13  61
26.93  57
25.67  39
31.89  38
44.23  31
11.95  30
47.48  25
46.90  25



Theoretical X-ray diffraction stick pattern of V6GaSn for a wavelength of 1.5418 Å, from a structure optimized by DFT (GGA-PBE).
Kinematic intensities with the Lorentz-polarization factor, no thermal factor.

Atomic structure:
```
8
Lattice="4.8829 0.0000 0.0000 0.0000 4.8829 0.0000 0.0000 0.0000 4.8829" Properties=species:S:1:pos:R:3 pbc="T T T"
V 0.0000 1.1777 2.4414
V 0.0000 3.7051 2.4414
V 1.1777 2.4414 0.0000
V 2.4414 0.0000 1.1777
V 2.4414 0.0000 3.7051
V 3.7051 2.4414 0.0000
Ga 0.0000 0.0000 0.0000
Sn 2.4414 2.4414 2.4414
```

Main lines, by intensity (10 to 80 degrees two-theta):
2theta  I (rel.)
45.50  100
41.35  62
72.42  49
36.81  47
25.80  23
78.33  13
69.40  13
59.90  6
18.17  5
31.74  4
53.05  4
56.54  2